Diffraction record for AcCeIrBr. The powder XRD pattern is calculated, not measured: it uses a structure optimized by DFT (GGA-PBE) and Cu Kα, 1.54184 Å.
Lines closer than 0.1° are merged.

Cell and atoms:
```
data_AcCeIrBr
_chemical_formula_sum 'Ac3 Ce3 Ir3 Br3'
_cell_length_a 4.2211
_cell_length_b 4.2211
_cell_length_c 24.3345
_cell_angle_alpha 90.00
_cell_angle_beta 90.00
_cell_angle_gamma 120.00
_symmetry_space_group_name_H-M 'R 3 m'
_symmetry_Int_Tables_number 160
_symmetry_space_group_name_Hall 'R 3 -2"'
loop_
_atom_site_label
_atom_site_type_symbol
_atom_site_fract_x
_atom_site_fract_y
_atom_site_fract_z
Ac1 Ac 0.0000 0.0000 0.0000
Ce1 Ce 0.0000 0.0000 0.2048
Ir1 Ir 0.0000 0.0000 0.5953
Br1 Br 0.0000 0.0000 0.7762
```

Principal peaks in the range 2θ from 10° to 90°, in order of rising 2θ:
10.9°, d = 8.112 Å, I = 52, hkl 0 0 3
25.4°, d = 3.501 Å, I = 25, hkl 0 1 2
28.5°, d = 3.133 Å, I = 15, hkl 1 0 4
30.6°, d = 2.923 Å, I = 100, hkl 0 1 5
35.6°, d = 2.519 Å, I = 14, hkl 1 0 7
42.8°, d = 2.111 Å, I = 43, hkl 1 1 0
44.7°, d = 2.026 Å, I = 32, hkl 1 0 10
53.6°, d = 1.711 Å, I = 21, hkl 2 0 5
63.7°, d = 1.462 Å, I = 17, hkl 0 2 10
70.9°, d = 1.329 Å, I = 18, hkl 1 2 5



Diffraction record for Tb3Ho4Sc4. The powder XRD pattern is calculated, not measured: it uses a structure optimized by DFT (GGA-PBE) and Cu Kα, 1.54184 Å.
Lines closer than 0.1° are merged.

Cell and atoms:
```
data_Tb3Ho4Sc4
_chemical_formula_sum 'Tb3 Ho4 Sc4'
_cell_length_a 3.383
_cell_length_b 5.417
_cell_length_c 17.519
_cell_angle_alpha 98.86
_cell_angle_beta 95.53
_cell_angle_gamma 90.00
_symmetry_space_group_name_H-M 'P -1'
_symmetry_Int_Tables_number 2
loop_
_symmetry_equiv_pos_as_xyz
'x,y,z'
'-x,-y,-z'
loop_
_atom_site_label
_atom_site_type_symbol
_atom_site_fract_x
_atom_site_fract_y
_atom_site_fract_z
Tb1 Tb 0.000 0.000 0.000
Tb2 Tb 0.138 0.639 0.277
Ho1 Ho 0.318 0.817 0.635
Ho2 Ho 0.453 0.453 0.906
Sc1 Sc 0.266 0.266 0.532
Sc2 Sc 0.408 0.908 0.816
```

Principal peaks in the range 2θ from 10° to 90°, in order of rising 2θ:
15.4°, d = 5.743 Å, I = 15, hkl 0 0 3
20.9°, d = 4.259 Å, I = 18, hkl 0 1 2
31.6°, d = 2.830 Å, I = 29, hkl -1 1 1
32.1°, d = 2.788 Å, I = 27, hkl 1 0 -4
32.9°, d = 2.722 Å, I = 47, hkl 1 -1 2
33.0°, d = 2.711 Å, I = 100, hkl 0 2 -1
46.8°, d = 1.943 Å, I = 19, hkl -1 2 3
59.0°, d = 1.566 Å, I = 21, hkl 0 3 4
65.0°, d = 1.435 Å, I = 28, hkl 2 2 -2
84.3°, d = 1.149 Å, I = 11, hkl 2 -3 6



Diffraction record for CsCd6Bi2. The powder XRD pattern is calculated, not measured: it uses a structure optimized by DFT (GGA-PBE) and Cu Kα, 1.54184 Å.
Lines closer than 0.1° are merged.

Cell and atoms:
```
data_CsCd6Bi2
_chemical_formula_sum 'Cs1 Cd6 Bi2'
_cell_length_a 5.188
_cell_length_b 5.188
_cell_length_c 10.188
_cell_angle_alpha 90.00
_cell_angle_beta 90.00
_cell_angle_gamma 90.00
_symmetry_space_group_name_H-M 'P 4/m m m'
_symmetry_Int_Tables_number 123
_symmetry_space_group_name_Hall '-P 4 2'
loop_
_atom_site_label
_atom_site_type_symbol
_atom_site_fract_x
_atom_site_fract_y
_atom_site_fract_z
Cs1 Cs 0.000 0.000 0.000
Cd1 Cd 0.000 0.000 0.500
Cd2 Cd 0.000 0.500 0.331
Cd3 Cd 0.500 0.500 0.500
Bi1 Bi 0.500 0.500 0.162
```

Principal peaks in the range 2θ from 10° to 90°, in order of rising 2θ:
24.5°, d = 3.635 Å, I = 28, hkl 1 0 2
25.8°, d = 3.451 Å, I = 29, hkl 1 1 1
30.0°, d = 2.977 Å, I = 30, hkl 1 1 2
31.5°, d = 2.841 Å, I = 44, hkl 1 0 3
34.6°, d = 2.594 Å, I = 90, hkl 2 0 0
36.0°, d = 2.492 Å, I = 100, hkl 1 1 3
47.5°, d = 1.916 Å, I = 29, hkl 2 1 3
49.7°, d = 1.834 Å, I = 32, hkl 2 2 0
62.9°, d = 1.477 Å, I = 38, hkl 3 1 3
65.7°, d = 1.421 Å, I = 27, hkl 2 0 6



Diffraction record for BeZn3Rh4. The powder XRD pattern is calculated, not measured: it uses a structure optimized by DFT (GGA-PBE) and Cu Kα, 1.54184 Å.
Lines closer than 0.1° are merged.

Cell and atoms:
```
data_BeZn3Rh4
_chemical_formula_sum 'Be1 Zn3 Rh4'
_cell_length_a 2.930
_cell_length_b 2.930
_cell_length_c 12.204
_cell_angle_alpha 90.00
_cell_angle_beta 90.00
_cell_angle_gamma 90.00
_symmetry_space_group_name_H-M 'P 4/m m m'
_symmetry_Int_Tables_number 123
_symmetry_space_group_name_Hall '-P 4 2'
loop_
_atom_site_label
_atom_site_type_symbol
_atom_site_fract_x
_atom_site_fract_y
_atom_site_fract_z
Be1 Be 0.000 0.000 0.000
Zn1 Zn 0.000 0.000 0.240
Zn2 Zn 0.000 0.000 0.500
Rh1 Rh 0.500 0.500 0.109
Rh2 Rh 0.500 0.500 0.369
```

Principal peaks in the range 2θ from 10° to 90°, in order of rising 2θ:
29.3°, d = 3.051 Å, I = 7, hkl 0 0 4
30.5°, d = 2.930 Å, I = 14, hkl 1 0 0
37.8°, d = 2.378 Å, I = 10, hkl 1 0 3
42.8°, d = 2.113 Å, I = 100, hkl 1 0 4
43.7°, d = 2.072 Å, I = 51, hkl 1 1 0
60.7°, d = 1.525 Å, I = 7, hkl 0 0 8
63.5°, d = 1.465 Å, I = 16, hkl 2 0 0
70.6°, d = 1.334 Å, I = 5, hkl 1 1 7
77.7°, d = 1.228 Å, I = 13, hkl 1 1 8
79.6°, d = 1.204 Å, I = 30, hkl 2 1 4



Diffraction record for MgB2P2. The powder XRD pattern is calculated, not measured: it uses a structure optimized by DFT (GGA-PBE) and Cu Kα, 1.54184 Å.
Lines closer than 0.1° are merged.

Cell and atoms:
```
data_MgB2P2
_chemical_formula_sum 'Mg2 B4 P4'
_cell_length_a 4.131
_cell_length_b 4.131
_cell_length_c 6.980
_cell_angle_alpha 90.00
_cell_angle_beta 90.00
_cell_angle_gamma 90.00
_symmetry_space_group_name_H-M 'I 4/m m m'
_symmetry_Int_Tables_number 139
_symmetry_space_group_name_Hall '-I 4 2'
loop_
_atom_site_label
_atom_site_type_symbol
_atom_site_fract_x
_atom_site_fract_y
_atom_site_fract_z
Mg1 Mg 0.000 0.000 0.000
B1 B 0.000 0.000 0.371
P1 P 0.000 0.500 0.250
```

Principal peaks in the range 2θ from 10° to 90°, in order of rising 2θ:
25.1°, d = 3.555 Å, I = 9, hkl 1 0 1
25.5°, d = 3.490 Å, I = 18, hkl 0 0 2
40.3°, d = 2.240 Å, I = 100, hkl 1 1 2
43.8°, d = 2.065 Å, I = 54, hkl 2 0 0
44.7°, d = 2.027 Å, I = 14, hkl 1 0 3
61.9°, d = 1.498 Å, I = 8, hkl 1 1 4
63.7°, d = 1.460 Å, I = 16, hkl 2 2 0
64.4°, d = 1.447 Å, I = 8, hkl 2 1 3
70.7°, d = 1.333 Å, I = 13, hkl 2 0 4
78.1°, d = 1.223 Å, I = 27, hkl 3 1 2



Diffraction record for SrZn5Rh2. The powder XRD pattern is calculated, not measured: it uses a structure optimized by DFT (GGA-PBE) and Cu Kα, 1.54184 Å.
Lines closer than 0.1° are merged.

Cell and atoms:
```
data_SrZn5Rh2
_chemical_formula_sum 'Sr2 Zn10 Rh4'
_cell_length_a 4.094
_cell_length_b 7.397
_cell_length_c 10.054
_cell_angle_alpha 90.00
_cell_angle_beta 90.00
_cell_angle_gamma 90.00
_symmetry_space_group_name_H-M 'I m m m'
_symmetry_Int_Tables_number 71
_symmetry_space_group_name_Hall '-I 2 2'
loop_
_atom_site_label
_atom_site_type_symbol
_atom_site_fract_x
_atom_site_fract_y
_atom_site_fract_z
Sr1 Sr 0.000 0.000 0.000
Zn1 Zn 0.000 0.182 0.338
Zn2 Zn 0.000 0.500 0.000
Rh1 Rh 0.000 0.500 0.245
```

Principal peaks in the range 2θ from 10° to 90°, in order of rising 2θ:
17.6°, d = 5.027 Å, I = 50, hkl 0 0 2
30.6°, d = 2.917 Å, I = 46, hkl 1 1 2
33.9°, d = 2.648 Å, I = 82, hkl 1 2 1
34.6°, d = 2.593 Å, I = 100, hkl 1 0 3
42.8°, d = 2.112 Å, I = 66, hkl 1 3 0
43.5°, d = 2.079 Å, I = 66, hkl 0 2 4
44.0°, d = 2.057 Å, I = 38, hkl 1 1 4
44.2°, d = 2.047 Å, I = 59, hkl 2 0 0
46.6°, d = 1.947 Å, I = 58, hkl 1 3 2
63.8°, d = 1.459 Å, I = 41, hkl 2 2 4



Diffraction record for RbGa3Br8. The powder XRD pattern is calculated, not measured: it uses a structure optimized by DFT (GGA-PBE) and Cu Kα, 1.54184 Å.
Lines closer than 0.1° are merged.

Cell and atoms:
```
data_RbGa3Br8
_chemical_formula_sum 'Rb2 Ga6 Br16'
_cell_length_a 11.563
_cell_length_b 7.877
_cell_length_c 10.783
_cell_angle_alpha 90.00
_cell_angle_beta 94.87
_cell_angle_gamma 90.00
_symmetry_space_group_name_H-M 'C 1 2/m 1'
_symmetry_Int_Tables_number 12
loop_
_symmetry_equiv_pos_as_xyz
'x,y,z'
'-x,-y,-z'
'-x,y,-z'
'x,-y,z'
'x+1/2,y+1/2,z'
'-x+1/2,-y+1/2,-z'
'-x+1/2,y+1/2,-z'
'x+1/2,-y+1/2,z'
loop_
_atom_site_label
_atom_site_type_symbol
_atom_site_fract_x
_atom_site_fract_y
_atom_site_fract_z
Rb1 Rb 0.000 0.000 0.000
Ga1 Ga 0.000 0.000 0.500
Ga2 Ga 0.102 0.500 0.266
Br1 Br 0.021 0.257 0.731
Br2 Br 0.191 0.500 0.077
Br3 Br 0.228 0.500 0.449
```

Principal peaks in the range 2θ from 10° to 90°, in order of rising 2θ:
15.4°, d = 5.761 Å, I = 39, hkl 2 0 0
15.6°, d = 5.685 Å, I = 60, hkl 1 1 -1
16.3°, d = 5.449 Å, I = 50, hkl 1 1 1
23.6°, d = 3.772 Å, I = 49, hkl 2 0 2
25.8°, d = 3.452 Å, I = 67, hkl 3 1 0
27.4°, d = 3.251 Å, I = 53, hkl 2 2 0
28.1°, d = 3.176 Å, I = 100, hkl 0 2 2
28.3°, d = 3.157 Å, I = 60, hkl 2 2 -1
43.5°, d = 2.082 Å, I = 63, hkl 4 2 2
45.0°, d = 2.013 Å, I = 56, hkl 4 2 -3



Diffraction record for Dy4SnBiSe2. The powder XRD pattern is calculated, not measured: it uses a structure optimized by DFT (GGA-PBE) and Cu Kα, 1.54184 Å.
Lines closer than 0.1° are merged.

Cell and atoms:
```
data_Dy4SnBiSe2
_chemical_formula_sum 'Dy4 Sn1 Bi1 Se2'
_cell_length_a 7.367
_cell_length_b 4.275
_cell_length_c 7.414
_cell_angle_alpha 90.00
_cell_angle_beta 109.51
_cell_angle_gamma 90.00
_symmetry_space_group_name_H-M 'P 1 2/m 1'
_symmetry_Int_Tables_number 10
loop_
_symmetry_equiv_pos_as_xyz
'x,y,z'
'-x,-y,-z'
'-x,y,-z'
'x,-y,z'
loop_
_atom_site_label
_atom_site_type_symbol
_atom_site_fract_x
_atom_site_fract_y
_atom_site_fract_z
Dy1 Dy 0.238 0.000 0.239
Dy2 Dy 0.242 0.500 0.753
Sn1 Sn 0.500 0.000 0.000
Bi1 Bi 0.500 0.500 0.500
Se1 Se 0.000 0.000 0.500
Se2 Se 0.000 0.500 0.000
```

Principal peaks in the range 2θ from 10° to 90°, in order of rising 2θ:
29.6°, d = 3.019 Å, I = 100, hkl 1 1 1
42.3°, d = 2.139 Å, I = 38, hkl 0 2 0
42.4°, d = 2.130 Å, I = 37, hkl 3 1 -1
52.4°, d = 1.745 Å, I = 20, hkl 2 2 -2
52.7°, d = 1.736 Å, I = 7, hkl 4 0 0
61.4°, d = 1.509 Å, I = 13, hkl 2 2 2
69.5°, d = 1.352 Å, I = 18, hkl 1 3 1
69.7°, d = 1.348 Å, I = 11, hkl 4 2 0
77.3°, d = 1.235 Å, I = 11, hkl 1 3 -3
77.4°, d = 1.233 Å, I = 9, hkl 3 3 -1



Diffraction record for Tb8P3Se4Cl. The powder XRD pattern is calculated, not measured: it uses a structure optimized by DFT (GGA-PBE) and Cu Kα, 1.54184 Å.
Lines closer than 0.1° are merged.

Cell and atoms:
```
data_Tb8P3Se4Cl
_chemical_formula_sum 'Tb24 P9 Se12 Cl3'
_cell_length_a 8.0949
_cell_length_b 8.0949
_cell_length_c 20.0491
_cell_angle_alpha 90.00
_cell_angle_beta 90.00
_cell_angle_gamma 120.00
_symmetry_space_group_name_H-M 'R -3 m'
_symmetry_Int_Tables_number 166
_symmetry_space_group_name_Hall '-R 3 2"'
loop_
_atom_site_label
_atom_site_type_symbol
_atom_site_fract_x
_atom_site_fract_y
_atom_site_fract_z
Tb1 Tb 0.0000 0.0000 0.2422
Tb2 Tb 0.0183 0.5091 0.7553
P1 P 0.0000 0.5000 0.5000
Se1 Se 0.0000 0.0000 0.0000
Se2 Se 0.0000 0.5000 0.0000
Cl1 Cl 0.0000 0.0000 0.5000
```

Principal peaks in the range 2θ from 10° to 90°, in order of rising 2θ:
26.7°, d = 3.342 Å, I = 10, hkl 0 0 6
26.9°, d = 3.309 Å, I = 32, hkl 2 0 2
31.1°, d = 2.872 Å, I = 100, hkl 0 2 4
44.4°, d = 2.039 Å, I = 35, hkl 2 0 8
44.8°, d = 2.024 Å, I = 36, hkl 2 2 0
55.5°, d = 1.654 Å, I = 18, hkl 4 0 4
64.9°, d = 1.436 Å, I = 11, hkl 0 4 8
73.5°, d = 1.288 Å, I = 14, hkl 2 2 12
74.0°, d = 1.281 Å, I = 15, hkl 2 4 4
82.3°, d = 1.171 Å, I = 11, hkl 4 2 8



Diffraction record for CaH4Au. The powder XRD pattern is calculated, not measured: it uses a structure optimized by DFT (GGA-PBE) and Cu Kα, 1.54184 Å.
Lines closer than 0.1° are merged.

Cell and atoms:
```
data_CaH4Au
_chemical_formula_sum 'Ca2 H8 Au2'
_cell_length_a 7.790
_cell_length_b 4.840
_cell_length_c 4.092
_cell_angle_alpha 90.00
_cell_angle_beta 120.41
_cell_angle_gamma 90.00
_symmetry_space_group_name_H-M 'C 1 2/m 1'
_symmetry_Int_Tables_number 12
loop_
_symmetry_equiv_pos_as_xyz
'x,y,z'
'-x,-y,-z'
'-x,y,-z'
'x,-y,z'
'x+1/2,y+1/2,z'
'-x+1/2,-y+1/2,-z'
'-x+1/2,y+1/2,-z'
'x+1/2,-y+1/2,z'
loop_
_atom_site_label
_atom_site_type_symbol
_atom_site_fract_x
_atom_site_fract_y
_atom_site_fract_z
Ca1 Ca 0.000 0.000 0.000
H1 H 0.173 0.246 0.678
Au1 Au 0.000 0.500 0.500
```

Principal peaks in the range 2θ from 10° to 90°, in order of rising 2θ:
22.6°, d = 3.927 Å, I = 71, hkl 1 1 0
25.2°, d = 3.529 Å, I = 29, hkl 0 0 1
25.7°, d = 3.460 Å, I = 28, hkl 2 0 -1
26.5°, d = 3.359 Å, I = 58, hkl 2 0 0
28.6°, d = 3.124 Å, I = 100, hkl 1 1 -1
37.2°, d = 2.420 Å, I = 24, hkl 0 2 0
39.0°, d = 2.307 Å, I = 44, hkl 1 1 1
39.7°, d = 2.269 Å, I = 42, hkl 3 1 -1
45.8°, d = 1.983 Å, I = 18, hkl 2 2 -1
46.2°, d = 1.963 Å, I = 27, hkl 2 2 0



Diffraction record for ErSi7Ir3. The powder XRD pattern is calculated, not measured: it uses a structure optimized by DFT (GGA-PBE) and Cu Kα, 1.54184 Å.
Lines closer than 0.1° are merged.

Cell and atoms:
```
data_ErSi7Ir3
_chemical_formula_sum 'Er6 Si42 Ir18'
_cell_length_a 7.6094
_cell_length_b 7.6094
_cell_length_c 20.1921
_cell_angle_alpha 90.00
_cell_angle_beta 90.00
_cell_angle_gamma 120.00
_symmetry_space_group_name_H-M 'R -3 c'
_symmetry_Int_Tables_number 167
_symmetry_space_group_name_Hall '-R 3 2"c'
loop_
_atom_site_label
_atom_site_type_symbol
_atom_site_fract_x
_atom_site_fract_y
_atom_site_fract_z
Er1 Er 0.0000 0.0000 0.0000
Si1 Si 0.0000 0.0000 0.2500
Si2 Si 0.0121 0.2019 0.1376
Ir1 Ir 0.0000 0.3211 0.2500
```

Principal peaks in the range 2θ from 10° to 90°, in order of rising 2θ:
26.9°, d = 3.312 Å, I = 100, hkl 1 1 3
35.6°, d = 2.521 Å, I = 41, hkl 1 1 6
41.1°, d = 2.197 Å, I = 41, hkl 3 0 0
47.0°, d = 1.933 Å, I = 35, hkl 1 1 9
49.6°, d = 1.839 Å, I = 18, hkl 0 3 6
49.8°, d = 1.831 Å, I = 28, hkl 2 2 3
66.5°, d = 1.406 Å, I = 18, hkl 4 1 3
70.5°, d = 1.336 Å, I = 20, hkl 3 0 12
71.3°, d = 1.322 Å, I = 13, hkl 1 4 6
79.1°, d = 1.211 Å, I = 13, hkl 4 1 9



Diffraction record for Sm7Zn2Au2. The powder XRD pattern is calculated, not measured: it uses a structure optimized by DFT (GGA-PBE) and Cu Kα, 1.54184 Å.
Lines closer than 0.1° are merged.

Cell and atoms:
```
data_Sm7Zn2Au2
_chemical_formula_sum 'Sm14 Zn4 Au4'
_cell_length_a 7.552
_cell_length_b 10.932
_cell_length_c 7.769
_cell_angle_alpha 90.00
_cell_angle_beta 90.00
_cell_angle_gamma 90.00
_symmetry_space_group_name_H-M 'C m m m'
_symmetry_Int_Tables_number 65
_symmetry_space_group_name_Hall '-C 2 2'
loop_
_atom_site_label
_atom_site_type_symbol
_atom_site_fract_x
_atom_site_fract_y
_atom_site_fract_z
Sm1 Sm 0.000 0.000 0.000
Sm2 Sm 0.000 0.500 0.261
Sm3 Sm 0.250 0.250 0.284
Zn1 Zn 0.000 0.291 0.000
Au1 Au 0.186 0.000 0.500
```

Principal peaks in the range 2θ from 10° to 90°, in order of rising 2θ:
26.2°, d = 3.396 Å, I = 47, hkl 2 0 1
27.1°, d = 3.294 Å, I = 61, hkl 1 1 2
28.2°, d = 3.166 Å, I = 38, hkl 0 2 2
28.7°, d = 3.107 Å, I = 35, hkl 2 2 0
32.8°, d = 2.733 Å, I = 67, hkl 0 4 0
35.8°, d = 2.507 Å, I = 45, hkl 1 3 2
37.1°, d = 2.426 Å, I = 100, hkl 2 2 2
38.5°, d = 2.340 Å, I = 37, hkl 0 2 3
42.5°, d = 2.129 Å, I = 21, hkl 2 4 1
45.6°, d = 1.989 Å, I = 25, hkl 2 2 3



Diffraction record for CdFeBr4. The powder XRD pattern is calculated, not measured: it uses a structure optimized by DFT (GGA-PBE) and Cu Kα, 1.54184 Å.
Lines closer than 0.1° are merged.

Cell and atoms:
```
data_CdFeBr4
_chemical_formula_sum 'Cd2 Fe2 Br8'
_cell_length_a 7.526
_cell_length_b 7.526
_cell_length_c 9.234
_cell_angle_alpha 90.00
_cell_angle_beta 90.00
_cell_angle_gamma 90.00
_symmetry_space_group_name_H-M 'P 42/m m c'
_symmetry_Int_Tables_number 131
_symmetry_space_group_name_Hall '-P 4c 2'
loop_
_atom_site_label
_atom_site_type_symbol
_atom_site_fract_x
_atom_site_fract_y
_atom_site_fract_z
Cd1 Cd 0.000 0.000 0.000
Fe1 Fe 0.000 0.500 0.000
Br1 Br 0.237 0.266 0.000
```

Principal peaks in the range 2θ from 10° to 90°, in order of rising 2θ:
11.8°, d = 7.526 Å, I = 29, hkl 1 0 0
15.2°, d = 5.834 Å, I = 22, hkl 1 0 1
19.2°, d = 4.617 Å, I = 100, hkl 0 0 2
22.6°, d = 3.935 Å, I = 13, hkl 1 0 2
33.7°, d = 2.661 Å, I = 46, hkl 2 2 0
39.1°, d = 2.306 Å, I = 76, hkl 0 0 4
48.4°, d = 1.881 Å, I = 15, hkl 4 0 0
52.5°, d = 1.743 Å, I = 49, hkl 2 2 4
63.8°, d = 1.458 Å, I = 13, hkl 4 0 4
84.0°, d = 1.152 Å, I = 16, hkl 4 4 4